(1)
Computed PXRD pattern of Sc3Al3GePt2 for Cu Kα (λ = 1.5418 Å), from a crystal structure in OQMD, relaxed with PBE.

Structural model:
a = 7.1390 Å, b = 7.1390 Å, c = 3.6722 Å
α = 90.00°, β = 90.00°, γ = 120.00°
Element x y z (fractional)
Sc1 0.0000 0.6033 0.0000
Sc2 0.3967 0.3967 0.0000
Sc3 0.6033 0.0000 0.0000
Al1 0.0000 0.2724 0.5000
Al2 0.2724 0.0000 0.5000
Al3 0.7276 0.7276 0.5000
Ge1 0.0000 0.0000 0.0000
Pt1 0.3333 0.6667 0.5000
Pt2 0.6667 0.3333 0.5000

Most intense lines, 15° ≤ 2θ ≤ 90°, by intensity:
2θ (°)  I_rel
24.95  100.0
35.06  85.8
38.05  65.4
43.93  57.4
28.27  53.5
46.04  45.9

=====

(2)
Computed PXRD pattern of ScAlGePt for Cu Kα (λ = 1.5418 Å), from a crystal structure in OQMD, relaxed with PBE.

Structural model:
a = 5.3647 Å, b = 5.3647 Å, c = 6.5967 Å
α = 90.00°, β = 90.00°, γ = 133.59°
Element x y z (fractional)
Sc1 0.0775 0.9225 0.5000
Sc2 0.9225 0.0775 0.0000
Al1 0.3645 0.6355 0.3016
Al2 0.6355 0.3645 0.8016
Ge1 0.3800 0.6200 0.7056
Ge2 0.6200 0.3800 0.2056
Pt1 0.2067 0.7933 0.9966
Pt2 0.7933 0.2067 0.4966

Most intense lines, 15° ≤ 2θ ≤ 90°, by intensity:
2θ (°)  I_rel
26.62  100.0
37.23  78.8
17.99  55.2
35.71  51.8
47.51  47.8
44.42  45.3

=====

(3)
Computed PXRD pattern of SrAlGePt2 for Cu Kα (λ = 1.5418 Å), from a crystal structure in OQMD, relaxed with PBE.

Structural model:
a = 4.3337 Å, b = 4.3337 Å, c = 10.6796 Å
α = 90.00°, β = 90.00°, γ = 90.00°
Element x y z (fractional)
Sr1 0.2500 0.2500 0.2454
Sr2 0.7500 0.7500 0.7546
Al1 0.2500 0.7500 0.5000
Al2 0.7500 0.2500 0.5000
Ge1 0.2500 0.2500 0.8723
Ge2 0.7500 0.7500 0.1277
Pt1 0.2500 0.2500 0.6288
Pt2 0.2500 0.7500 0.0000
Pt3 0.7500 0.2500 0.0000
Pt4 0.7500 0.7500 0.3712

Most intense lines, 15° ≤ 2θ ≤ 90°, by intensity:
2θ (°)  I_rel
33.72  100.0
41.68  90.7
32.55  75.5
30.34  75.0
45.03  70.0
53.86  36.2

=====

(4)
Computed PXRD pattern of AlTc2Ge2 for Cu Kα (λ = 1.5418 Å), from a crystal structure in OQMD, relaxed with PBE.

Structural model:
a = 6.9296 Å, b = 6.9296 Å, c = 6.9296 Å
α = 150.76°, β = 150.76°, γ = 41.82°
Element x y z (fractional)
Al1 0.0000 0.0000 0.0000
Tc1 0.3949 0.3949 0.0000
Tc2 0.6051 0.6051 0.0000
Ge1 0.2500 0.7500 0.5000
Ge2 0.7500 0.2500 0.5000

Most intense lines, 15° ≤ 2θ ≤ 90°, by intensity:
2θ (°)  I_rel
46.19  100.0
38.98  93.7
26.40  89.9
43.49  67.0
52.31  54.5
32.96  33.4

=====

(5)
Computed PXRD pattern of YTmAl3Ge2 for Cu Kα (λ = 1.5418 Å), from a crystal structure in OQMD, relaxed with PBE.

Structural model:
a = 5.5026 Å, b = 5.5026 Å, c = 6.7346 Å
α = 99.12°, β = 99.12°, γ = 43.31°
Element x y z (fractional)
Y1 0.0000 0.0000 0.0000
Tm1 0.7676 0.7676 0.3676
Al1 0.0817 0.0817 0.5592
Al2 0.3825 0.3825 0.6823
Al3 0.6867 0.6867 0.8063
Ge1 0.2838 0.2838 0.0446
Ge2 0.4841 0.4841 0.3267

Most intense lines, 15° ≤ 2θ ≤ 90°, by intensity:
2θ (°)  I_rel
34.87  100.0
38.97  58.1
35.53  51.3
27.97  47.5
26.45  44.8
44.62  36.8

=====

(6)
Computed PXRD pattern of AlInReH6 for Cu Kα (λ = 1.5418 Å), from a crystal structure in OQMD, relaxed with PBE.

Structural model:
a = 4.6155 Å, b = 4.6155 Å, c = 4.6155 Å
α = 60.00°, β = 60.00°, γ = 60.00°
Element x y z (fractional)
Al1 0.0000 0.0000 0.0000
In1 0.2500 0.2500 0.2500
Re1 0.5000 0.5000 0.5000
H1 0.5675 0.5675 0.9325
H2 0.5675 0.9325 0.5675
H3 0.5675 0.9325 0.9325
H4 0.9325 0.5675 0.5675
H5 0.9325 0.5675 0.9325
H6 0.9325 0.9325 0.5675

Most intense lines, 15° ≤ 2θ ≤ 90°, by intensity:
2θ (°)  I_rel
39.03  100.0
23.61  84.7
46.12  44.8
70.71  34.3
61.97  18.7
56.38  17.4

=====

(7)
Computed PXRD pattern of AlH6IrPb for Cu Kα (λ = 1.5418 Å), from a crystal structure in OQMD, relaxed with PBE.

Structural model:
a = 4.8587 Å, b = 4.8587 Å, c = 4.8587 Å
α = 60.00°, β = 60.00°, γ = 60.00°
Element x y z (fractional)
Al1 0.0000 0.0000 0.0000
H1 0.2570 0.2570 0.7430
H2 0.2570 0.7430 0.2570
H3 0.2570 0.7430 0.7430
H4 0.7430 0.2570 0.2570
H5 0.7430 0.2570 0.7430
H6 0.7430 0.7430 0.2570
Ir1 0.2500 0.2500 0.2500
Pb1 0.7500 0.7500 0.7500

Most intense lines, 15° ≤ 2θ ≤ 90°, by intensity:
2θ (°)  I_rel
37.00  100.0
25.93  93.3
60.23  38.2
66.69  37.0
45.74  29.7
84.62  19.3

=====

(8)
Computed PXRD pattern of La2AlNi9H12 for Cu Kα (λ = 1.5418 Å), from a crystal structure in OQMD, relaxed with PBE.

Structural model:
a = 5.5075 Å, b = 5.5075 Å, c = 7.7669 Å
α = 90.00°, β = 90.00°, γ = 116.41°
Element x y z (fractional)
La1 0.0000 0.0000 0.2497
La2 0.0000 0.0000 0.7503
Al1 0.5000 0.5000 0.0000
Ni1 0.0000 0.5000 0.0000
Ni2 0.0000 0.5000 0.5000
Ni3 0.3414 0.6586 0.2474
Ni4 0.3414 0.6586 0.7526
Ni5 0.5000 0.0000 0.0000
Ni6 0.5000 0.0000 0.5000
Ni7 0.5000 0.5000 0.5000
Ni8 0.6586 0.3414 0.2474
Ni9 0.6586 0.3414 0.7526
H1 0.1247 0.2947 0.0000
H2 0.1792 0.3487 0.5000
H3 0.1815 0.8185 0.5000
H4 0.1963 0.8037 0.0000
H5 0.2947 0.1247 0.0000
H6 0.3487 0.1792 0.5000
H7 0.6513 0.8208 0.5000
H8 0.7053 0.8753 0.0000
H9 0.8037 0.1963 0.0000
H10 0.8185 0.1815 0.5000
H11 0.8208 0.6513 0.5000
H12 0.8753 0.7053 0.0000

Most intense lines, 15° ≤ 2θ ≤ 90°, by intensity:
2θ (°)  I_rel
40.20  100.0
38.74  70.4
36.43  43.6
32.58  42.6
46.79  32.6
29.90  31.6

=====

(9)
Computed PXRD pattern of AlTcMoH6 for Cu Kα (λ = 1.5418 Å), from a crystal structure in OQMD, relaxed with PBE.

Structural model:
a = 4.3728 Å, b = 4.3728 Å, c = 4.3728 Å
α = 60.00°, β = 60.00°, γ = 60.00°
Element x y z (fractional)
Al1 0.0000 0.0000 0.0000
Tc1 0.2500 0.2500 0.2500
Mo1 0.7500 0.7500 0.7500
H1 0.2832 0.2832 0.7168
H2 0.2832 0.7168 0.2832
H3 0.2832 0.7168 0.7168
H4 0.7168 0.2832 0.2832
H5 0.7168 0.2832 0.7168
H6 0.7168 0.7168 0.2832

Most intense lines, 15° ≤ 2θ ≤ 90°, by intensity:
2θ (°)  I_rel
41.29  100.0
28.88  75.9
75.28  33.0
67.77  25.8
51.17  22.0
59.82  17.2

=====

(10)
Computed PXRD pattern of AlTlMoH6 for Cu Kα (λ = 1.5418 Å), from a crystal structure in OQMD, relaxed with PBE.

Structural model:
a = 4.8371 Å, b = 4.8371 Å, c = 4.8371 Å
α = 60.00°, β = 60.00°, γ = 60.00°
Element x y z (fractional)
Al1 0.0000 0.0000 0.0000
Tl1 0.5000 0.5000 0.5000
Mo1 0.7500 0.7500 0.7500
H1 0.0114 0.0114 0.4886
H2 0.0114 0.4886 0.0114
H3 0.0114 0.4886 0.4886
H4 0.4886 0.0114 0.0114
H5 0.4886 0.0114 0.4886
H6 0.4886 0.4886 0.0114

Most intense lines, 15° ≤ 2θ ≤ 90°, by intensity:
2θ (°)  I_rel
37.17  100.0
22.51  89.9
43.90  48.0
67.02  35.9
58.84  20.4
26.05  18.6

=====

(11)
Computed PXRD pattern of Y3Al2Ni6H9 for Cu Kα (λ = 1.5418 Å), from a crystal structure in OQMD, relaxed with PBE.

Structural model:
a = 7.9432 Å, b = 7.9432 Å, c = 7.9432 Å
α = 109.47°, β = 109.47°, γ = 109.47°
Element x y z (fractional)
Y1 0.0000 0.2689 0.2689
Y2 0.0000 0.7311 0.7311
Y3 0.2689 0.0000 0.2689
Y4 0.2689 0.2689 0.0000
Y5 0.7311 0.0000 0.7311
Y6 0.7311 0.7311 0.0000
Al1 0.0000 0.0000 0.5000
Al2 0.0000 0.5000 0.0000
Al3 0.5000 0.0000 0.0000
Al4 0.5000 0.5000 0.5000
Ni1 0.0000 0.3383 0.6617
Ni2 0.0000 0.6617 0.3383
Ni3 0.3235 0.6617 0.6617
Ni4 0.3383 0.0000 0.6617
Ni5 0.3383 0.3383 0.6765
Ni6 0.3383 0.6617 0.0000
Ni7 0.3383 0.6765 0.3383
Ni8 0.6617 0.0000 0.3383
Ni9 0.6617 0.3235 0.6617
Ni10 0.6617 0.3383 0.0000
Ni11 0.6617 0.6617 0.3235
Ni12 0.6765 0.3383 0.3383
H1 0.0000 0.0000 0.0000
H2 0.0000 0.0000 0.2652
H3 0.0000 0.0000 0.7348
H4 0.0000 0.2652 0.0000
H5 0.0000 0.5000 0.5000
H6 0.0000 0.7348 0.0000
H7 0.2500 0.5000 0.7500
H8 0.2500 0.7500 0.5000
H9 0.2652 0.0000 0.0000
H10 0.2652 0.2652 0.2652
H11 0.5000 0.0000 0.5000
H12 0.5000 0.2500 0.7500
H13 0.5000 0.5000 0.0000
H14 0.5000 0.7500 0.2500
H15 0.7348 0.0000 0.0000
H16 0.7348 0.7348 0.7348
H17 0.7500 0.2500 0.5000
H18 0.7500 0.5000 0.2500

Most intense lines, 15° ≤ 2θ ≤ 90°, by intensity:
2θ (°)  I_rel
41.78  100.0
36.66  42.4
33.86  19.8
67.77  18.9
62.41  17.3
76.29  14.6

=====

(12)
Computed PXRD pattern of AlTcH6Pb for Cu Kα (λ = 1.5418 Å), from a crystal structure in OQMD, relaxed with PBE.

Structural model:
a = 4.7298 Å, b = 4.7298 Å, c = 4.7298 Å
α = 60.00°, β = 60.00°, γ = 60.00°
Element x y z (fractional)
Al1 0.0000 0.0000 0.0000
Tc1 0.5000 0.5000 0.5000
H1 0.5983 0.5983 0.9017
H2 0.5983 0.9017 0.5983
H3 0.5983 0.9017 0.9017
H4 0.9017 0.5983 0.5983
H5 0.9017 0.5983 0.9017
H6 0.9017 0.9017 0.5983
Pb1 0.2500 0.2500 0.2500

Most intense lines, 15° ≤ 2θ ≤ 90°, by intensity:
2θ (°)  I_rel
38.05  100.0
23.03  95.5
44.95  53.7
68.75  35.0
60.31  23.2
85.98  18.0

=====

(13)
Computed PXRD pattern of AlSiH6W for Cu Kα (λ = 1.5418 Å), from a crystal structure in OQMD, relaxed with PBE.

Structural model:
a = 4.4123 Å, b = 4.4123 Å, c = 4.4123 Å
α = 60.00°, β = 60.00°, γ = 60.00°
Element x y z (fractional)
Al1 0.0000 0.0000 0.0000
Si1 0.7500 0.7500 0.7500
H1 0.0259 0.0259 0.4741
H2 0.0259 0.4741 0.0259
H3 0.0259 0.4741 0.4741
H4 0.4741 0.0259 0.0259
H5 0.4741 0.0259 0.4741
H6 0.4741 0.4741 0.0259
W1 0.5000 0.5000 0.5000

Most intense lines, 15° ≤ 2θ ≤ 90°, by intensity:
2θ (°)  I_rel
24.71  100.0
40.91  91.0
28.61  66.4
48.38  51.1
74.49  31.8
67.08  25.1